# ErMoAsO5
Theoretical PXRD pattern, Cu Kα (weighted mean of Kα1 and Kα2). Input: a crystal structure in Alexandria, relaxed with GGA+U.

Crystal structure
Lattice parameters (Å, degrees): 6.721 9.446 7.975 90.00 111.40 90.00
Space group C2/c (No. 15)
Inequivalent atoms, fractional coordinates:
Er (0.000, 0.000, 0.000) x4
Mo (0.000, 0.315, 0.250) x4
As (0.000, 0.315, 0.750) x4
O (0.000, 0.095, 0.250) x4
O (0.142, 0.201, 0.664) x8
O (0.157, 0.425, 0.917) x8

Principal peaks in the range 10 to 90 degrees two-theta, sorted by position:
| 2θ/deg | Rel. int. |
| --- | --- |
| 17.0 | 41 |
| 24.8 | 100 |
| 28.5 | 71 |
| 30.6 | 94 |
| 31.8 | 88 |
| 35.5 | 38 |
| 48.4 | 34 |
| 52.6 | 28 |